# LuScS2Br2
Theoretical powder diffraction line list, Cu Ka. Input: the GGA-PBE geometry in OQMD.
Neutral-atom scattering factors, no anomalous dispersion.

Crystal structure
```
LuScS2Br2
1.0
3.863 0.000 0.000
0.000 5.189 0.000
0.000 0.000 8.847
Lu Sc S Br
1 1 2 2
Direct
0.000 0.000 0.000
0.500 0.500 0.755
0.000 0.500 0.951
0.500 0.000 0.791
0.000 0.500 0.544
0.500 0.000 0.223
```

Largest 10 diffraction maxima, in order of rising 2θ, 5° ≤ 2θ ≤ 70°:
Position (°2θ)	I (rel.)
10.00	75.3
17.09	14.8
19.84	100.0
30.57	40.1
30.73	82.1
34.57	33.6
42.31	39.3
46.92	48.9
47.05	13.7
51.53	16.0


# AgPd
Theoretical powder diffraction line list, Cu Ka. Input: the GGA-PBE geometry in OQMD.
Neutral-atom scattering factors, no anomalous dispersion.

Crystal structure
```
AgPd
1.0
2.828 0.000 0.000
-1.414 2.450 0.000
0.000 0.000 4.663
Ag Pd
1 1
Direct
0.000 0.000 0.000
0.667 0.333 0.500
```

Largest 5 diffraction maxima, in order of rising 2θ, 5° ≤ 2θ ≤ 70°:
Position (°2θ)	I (rel.)
36.69	24.0
38.62	27.6
41.65	100.0
54.32	14.9
66.06	16.1


# K2SmYZn2
Theoretical powder diffraction line list, Cu Ka. Input: the GGA-PBE geometry in OQMD.
Neutral-atom scattering factors, no anomalous dispersion.

Crystal structure
```
K2SmYZn2
1.0
5.607 0.000 0.000
-2.804 4.856 0.000
0.000 0.000 6.865
K Sm Y Zn
2 1 1 2
Direct
0.000 0.000 0.000
0.333 0.667 0.504
0.667 0.333 0.252
0.667 0.333 0.753
0.000 0.000 0.497
0.333 0.667 0.001
```

Largest 10 diffraction maxima, in order of rising 2θ, 5° ≤ 2θ ≤ 70°:
Position (°2θ)	I (rel.)
18.27	13.7
22.43	6.1
31.92	100.0
37.02	2.4
45.77	19.2
49.67	2.1
53.39	3.4
56.89	29.6
63.56	11.9
66.73	6.0


# ZrMoSe2
Theoretical powder diffraction line list, Cu Ka. Input: the GGA-PBE geometry in OQMD.
Neutral-atom scattering factors, no anomalous dispersion.

Crystal structure
```
ZrMoSe2
1.0
7.427 0.000 0.000
0.000 6.516 0.000
0.000 0.000 6.232
Zr Mo Se
4 4 8
Direct
0.000 0.000 0.000
0.000 0.000 0.500
0.500 0.500 0.000
0.500 0.500 0.500
0.000 0.407 0.250
0.000 0.593 0.750
0.500 0.093 0.750
0.500 0.907 0.250
0.210 0.286 0.750
0.210 0.714 0.250
0.290 0.214 0.250
0.290 0.786 0.750
0.710 0.214 0.250
0.710 0.786 0.750
0.790 0.286 0.750
0.790 0.714 0.250
```

Largest 10 diffraction maxima, in order of rising 2θ, 5° ≤ 2θ ≤ 70°:
Position (°2θ)	I (rel.)
28.65	31.7
34.10	100.0
36.70	79.8
37.69	20.4
39.54	44.8
40.04	36.6
41.63	42.6
45.90	20.2
49.05	43.0
69.91	21.0


# CdSnSbP
Theoretical powder diffraction line list, Cu Ka. Input: the GGA-PBE geometry in OQMD.
Neutral-atom scattering factors, no anomalous dispersion.

Crystal structure
```
CdSnSbP
1.0
8.904 0.000 0.000
0.000 8.906 0.000
-4.350 0.000 6.132
Cd Sn Sb P
4 4 4 4
Direct
0.000 0.144 0.000
0.000 0.856 0.500
0.500 0.356 0.500
0.500 0.644 0.000
0.036 0.391 0.499
0.036 0.609 0.999
0.536 0.109 0.999
0.536 0.891 0.499
0.145 0.124 0.750
0.145 0.876 0.250
0.645 0.376 0.250
0.645 0.624 0.750
0.144 0.377 0.249
0.144 0.623 0.749
0.644 0.123 0.749
0.644 0.877 0.249
```

Largest 10 diffraction maxima, in order of rising 2θ, 5° ≤ 2θ ≤ 70°:
Position (°2θ)	I (rel.)
24.52	49.9
24.71	100.0
24.91	49.7
32.70	14.2
40.52	46.8
40.84	48.8
41.35	47.0
47.82	14.8
48.15	14.2
49.04	15.4


# Y4Sc2Ni3C3
Theoretical powder diffraction line list, Cu Ka. Input: the GGA-PBE geometry in OQMD.
Neutral-atom scattering factors, no anomalous dispersion.

Crystal structure
```
Y4Sc2Ni3C3
1.0
5.278 -3.045 0.000
5.278 3.045 0.000
-3.505 0.000 13.198
Y Sc Ni C
8 4 6 6
Direct
0.040 0.200 0.109
0.127 0.296 0.391
0.200 0.040 0.609
0.296 0.127 0.891
0.704 0.873 0.109
0.800 0.960 0.391
0.873 0.704 0.609
0.960 0.800 0.891
0.356 0.527 0.081
0.473 0.644 0.419
0.527 0.356 0.581
0.644 0.473 0.919
0.180 0.587 0.250
0.348 0.652 0.750
0.413 0.820 0.250
0.587 0.180 0.750
0.652 0.348 0.250
0.820 0.413 0.750
0.000 0.500 0.000
0.173 0.664 0.500
0.336 0.827 0.000
0.500 0.000 0.500
0.664 0.173 0.000
0.827 0.336 0.500
```

Largest 10 diffraction maxima, in order of rising 2θ, 5° ≤ 2θ ≤ 70°:
Position (°2θ)	I (rel.)
30.10	99.1
32.37	26.5
34.01	16.0
35.86	100.0
40.29	75.5
41.03	20.1
52.00	35.7
57.49	26.5
59.57	21.2
64.78	26.5


# Dy2YCu4Sn2Ge2
Theoretical powder diffraction line list, Cu Ka. Input: the GGA-PBE geometry in OQMD.
Neutral-atom scattering factors, no anomalous dispersion.

Crystal structure
```
Dy2YCu4Sn2Ge2
1.0
-2.147 3.465 7.172
2.147 -3.465 7.172
2.147 3.465 -7.172
Dy Y Cu Sn Ge
2 1 4 2 2
Direct
0.136 0.136 0.000
0.864 0.864 0.000
0.500 0.000 0.500
0.137 0.324 0.813
0.489 0.676 0.813
0.511 0.324 0.187
0.863 0.676 0.187
0.201 0.500 0.701
0.799 0.500 0.299
0.283 0.783 0.500
0.717 0.217 0.500
```

Largest 10 diffraction maxima, in order of rising 2θ, 5° ≤ 2θ ≤ 70°:
Position (°2θ)	I (rel.)
33.83	100.0
35.08	73.5
37.66	30.0
42.10	35.6
43.51	28.3
46.20	27.4
46.40	11.3
56.40	11.4
57.73	13.7
62.14	20.6


# Tb2GdSn4Pb3
Theoretical powder diffraction line list, Cu Ka. Input: the GGA-PBE geometry in OQMD.
Neutral-atom scattering factors, no anomalous dispersion.

Crystal structure
```
Tb2GdSn4Pb3
1.0
2.318 -12.873 0.000
2.318 12.873 0.000
0.000 0.000 4.622
Tb Gd Sn Pb
2 1 4 3
Direct
0.190 0.810 0.000
0.810 0.190 0.000
0.000 0.000 0.000
0.099 0.901 0.500
0.291 0.709 0.500
0.709 0.291 0.500
0.901 0.099 0.500
0.402 0.598 0.000
0.500 0.500 0.500
0.598 0.402 0.000
```

Largest 10 diffraction maxima, in order of rising 2θ, 5° ≤ 2θ ≤ 70°:
Position (°2θ)	I (rel.)
32.41	100.0
34.85	18.6
38.85	16.0
38.98	15.8
53.22	22.7
56.21	11.1
60.95	13.0
66.31	13.2
66.48	13.1
67.86	11.1